# LiTi2NiP2O10
Theoretical X-ray diffraction stick pattern, λ = 1.5418 Å (Cu Kα). Input: a cell relaxed with PBE+U.
Peak positions follow from Bragg's law for the DFT cell and can differ from measured ones.

Crystal structure
```
data_LiTi2NiP2O10
_chemical_formula_sum 'Li2 Ti4 Ni2 P4 O20'
_cell_length_a 6.516
_cell_length_b 7.421
_cell_length_c 7.405
_cell_angle_alpha 90.00
_cell_angle_beta 90.02
_cell_angle_gamma 90.00
_space_group_name_H-M_alt 'P 1'
_space_group_IT_number 1
_space_group_name_Hall 'P 1'
loop_
_atom_site_label
_atom_site_fract_x
_atom_site_fract_y
_atom_site_fract_z
Li1 0.000 0.000 0.000
Li2 0.000 0.500 0.500
Ti1 0.246 0.218 0.339
Ti2 0.246 0.282 0.839
Ti3 0.754 0.718 0.161
Ti4 0.754 0.782 0.661
Ni1 0.500 0.000 0.000
Ni2 0.500 0.500 0.500
P1 0.251 0.631 0.126
P2 0.251 0.869 0.626
P3 0.749 0.131 0.374
P4 0.749 0.369 0.874
O1 0.057 0.748 0.631
O2 0.057 0.752 0.131
O3 0.251 0.516 0.954
O4 0.251 0.984 0.454
O5 0.260 0.152 0.103
O6 0.260 0.348 0.603
O7 0.260 0.509 0.297
O8 0.260 0.991 0.797
O9 0.440 0.742 0.627
O10 0.440 0.758 0.127
O11 0.560 0.242 0.873
O12 0.560 0.258 0.373
O13 0.740 0.009 0.203
O14 0.740 0.491 0.703
O15 0.740 0.652 0.397
O16 0.740 0.848 0.897
O17 0.749 0.016 0.546
O18 0.749 0.484 0.046
O19 0.943 0.248 0.869
O20 0.943 0.252 0.369
```

Peak list (8 most intense, 5° ≤ 2θ ≤ 70°, low angle first)
hkl 1 0 0, 2θ = 13.59°, intensity 25; hkl 1 1 -1, 2θ = 21.76°, intensity 41; hkl 0 1 2, 2θ = 26.90°, intensity 100; hkl 2 0 0, 2θ = 27.38°, intensity 25; hkl 1 2 0, 2θ = 27.69°, intensity 19; hkl 2 1 -1, 2θ = 32.35°, intensity 45; hkl 2 2 1, 2θ = 38.75°, intensity 23; hkl 1 4 -2, 2θ = 57.31°, intensity 18

***

# Ba2CaCr2F14
Theoretical X-ray diffraction stick pattern, λ = 1.5418 Å (Cu Kα). Input: a cell relaxed with PBE+U.
Peak positions follow from Bragg's law for the DFT cell and can differ from measured ones.

Crystal structure
```
data_Ba2CaCr2F14
_chemical_formula_sum 'Ba4 Ca2 Cr4 F28'
_cell_length_a 5.533
_cell_length_b 5.606
_cell_length_c 19.986
_cell_angle_alpha 90.00
_cell_angle_beta 103.86
_cell_angle_gamma 90.00
_space_group_name_H-M_alt 'P 1'
_space_group_IT_number 1
_space_group_name_Hall 'P 1'
loop_
_atom_site_label
_atom_site_fract_x
_atom_site_fract_y
_atom_site_fract_z
Ba1 0.183 0.244 0.425
Ba2 0.183 0.756 0.925
Ba3 0.817 0.244 0.075
Ba4 0.817 0.756 0.575
Ca1 0.000 0.343 0.750
Ca2 0.000 0.657 0.250
Cr1 0.318 0.221 0.620
Cr2 0.318 0.779 0.120
Cr3 0.682 0.221 0.880
Cr4 0.682 0.779 0.380
F1 0.010 0.279 0.555
F2 0.010 0.721 0.055
F3 0.134 0.047 0.672
F4 0.134 0.953 0.172
F5 0.217 0.390 0.315
F6 0.217 0.610 0.815
F7 0.252 0.481 0.668
F8 0.252 0.519 0.168
F9 0.336 0.047 0.064
F10 0.336 0.953 0.564
F11 0.385 0.142 0.824
F12 0.385 0.858 0.324
F13 0.466 0.399 0.560
F14 0.466 0.601 0.060
F15 0.534 0.399 0.940
F16 0.534 0.601 0.440
F17 0.615 0.142 0.676
F18 0.615 0.858 0.176
F19 0.664 0.047 0.436
F20 0.664 0.953 0.936
F21 0.748 0.481 0.832
F22 0.748 0.519 0.332
F23 0.783 0.390 0.185
F24 0.783 0.610 0.685
F25 0.866 0.047 0.828
F26 0.866 0.953 0.328
F27 0.990 0.279 0.945
F28 0.990 0.721 0.445
```

Peak list (8 most intense, 5° ≤ 2θ ≤ 70°, low angle first)
hkl 0 0 2, 2θ = 9.11°, intensity 36; hkl 0 0 4, 2θ = 18.29°, intensity 27; hkl 1 1 -1, 2θ = 22.59°, intensity 100; hkl 1 1 1, 2θ = 24.17°, intensity 41; hkl 0 0 6, 2θ = 27.58°, intensity 27; hkl 1 1 -5, 2θ = 29.61°, intensity 27; hkl 1 2 2, 2θ = 38.40°, intensity 30; hkl 0 2 6, 2θ = 42.67°, intensity 30